Entry 1:
BaZn2Cd: calculated powder diffractogram (CuKα), based on a structure optimized by DFT (PBE).
No peak broadening, texture or thermal motion is included.

a b c (Å): 3.7060 3.7060 7.6605
angles (deg): 90.00 90.00 90.00
Sites, in units of the cell vectors:
Ba 0.0000 0.0000 0.0000
Zn 0.0000 0.0000 0.5484
Zn 0.5000 0.5000 0.6993
Cd 0.5000 0.5000 0.3325

The 10 most intense peaks (10 to 80 degrees two-theta), low angle first:
- 26.72°, I 41
- 33.65°, I 100
- 34.22°, I 70
- 35.14°, I 15
- 49.17°, I 25
- 49.86°, I 21
- 53.89°, I 9
- 56.84°, I 10
- 60.90°, I 34
- 61.87°, I 11

***

Entry 2:
Cs5Cd2Ag: calculated powder diffractogram (CuKα), based on a structure optimized by DFT (PBE).
No peak broadening, texture or thermal motion is included.

a b c (Å): 9.8518 9.8518 23.6784
angles (deg): 90.00 90.00 150.63
Sites, in units of the cell vectors:
Cs 0.0565 0.9435 0.7500
Cs 0.1381 0.8619 0.5643
Cs 0.1381 0.8619 0.9357
Cs 0.3711 0.6289 0.6344
Cs 0.3711 0.6289 0.8656
Cs 0.6289 0.3711 0.1344
Cs 0.6289 0.3711 0.3656
Cs 0.8619 0.1381 0.0643
Cs 0.8619 0.1381 0.4357
Cs 0.9435 0.0565 0.2500
Cd 0.2841 0.7159 0.1859
Cd 0.2841 0.7159 0.3141
Cd 0.7159 0.2841 0.6859
Cd 0.7159 0.2841 0.8141
Ag 0.2382 0.7618 0.7500
Ag 0.7618 0.2382 0.2500

The 10 most intense peaks (10 to 80 degrees two-theta), low angle first:
- 20.09°, I 56
- 20.95°, I 100
- 22.96°, I 74
- 23.77°, I 49
- 23.92°, I 91
- 28.35°, I 38
- 29.22°, I 41
- 31.63°, I 82
- 35.96°, I 45
- 48.98°, I 52